The following is a computed powder X-ray diffraction pattern of Rb2Ag17. It was derived from a crystal structure in Alexandria, relaxed with GGA-PBE, using CuKα.
Kinematic intensities with the Lorentz-polarization factor, no thermal factor.

Crystal structure
```
data_Rb2Ag17
_symmetry_space_group_name_H-M 'R -3 m'
_symmetry_Int_Tables_number 166
_symmetry_space_group_name_Hall '-R 3 2"'
_cell_length_a 9.9416
_cell_length_b 9.9416
_cell_length_c 14.2961
_cell_angle_alpha 90.00
_cell_angle_beta 90.00
_cell_angle_gamma 120.00
loop_
_atom_site_label
_atom_site_type_symbol
_atom_site_fract_x
_atom_site_fract_y
_atom_site_fract_z
Rb1 Rb 0.0000 0.0000 0.1531
Ag1 Ag 0.0000 0.0000 0.4023
Ag2 Ag 0.0000 0.2931 0.5000
Ag3 Ag 0.0000 0.5000 0.0000
Ag4 Ag 0.0077 0.5039 0.3456
```

Most intense lines, 10° ≤ 2θ ≤ 80°, by intensity:
2theta	Rel. int.
36.55	100.0
40.95	99.1
36.14	66.5
37.76	57.7
42.06	36.0
31.16	29.4
12.00	27.5
32.56	27.5
67.40	24.8
64.99	23.7



The following is a computed powder X-ray diffraction pattern of Li2AsPb. It was derived from a crystal structure in Alexandria, relaxed with GGA-PBE, using CuKα.
Kinematic intensities with the Lorentz-polarization factor, no thermal factor.

Crystal structure
```
data_Li2AsPb
_symmetry_space_group_name_H-M 'C 1 m 1'
_symmetry_Int_Tables_number 8
_symmetry_space_group_name_Hall 'C -2y'
_cell_length_a 12.297
_cell_length_b 3.025
_cell_length_c 4.651
_cell_angle_alpha 90.00
_cell_angle_beta 106.11
_cell_angle_gamma 90.00
loop_
_atom_site_label
_atom_site_type_symbol
_atom_site_fract_x
_atom_site_fract_y
_atom_site_fract_z
Li1 Li 0.000 0.000 0.000
Li2 Li 0.210 0.000 0.821
As1 As 0.168 0.500 0.302
Pb1 Pb 0.416 0.000 0.435
```

Most intense lines, 10° ≤ 2θ ≤ 80°, by intensity:
2theta	Rel. int.
19.87	100.0
30.50	49.6
37.85	46.8
30.26	44.7
15.00	42.6
39.52	41.9
31.33	34.8
21.35	33.9
37.49	30.7
61.28	20.7